Structure and theoretical PXRD pattern of Np2Cr3N4O16 (a crystal structure in the Materials Project, relaxed with PBE+U; Cu Ka).
No peak broadening, texture or thermal motion is included.

Largest 10 diffraction maxima, sorted by position, 2θ from 10° to 80°:
| 2theta | d [Å] | I/Imax | (hkl) |
| --- | --- | --- | --- |
| 10.48 | 8.441 | 12 | 1 -1 0 |
| 13.20 | 6.710 | 13 | 1 -1 1 |
| 13.37 | 6.622 | 100 | 0 1 1 |
| 20.14 | 4.410 | 12 | 1 0 2 |
| 25.41 | 3.505 | 20 | 2 0 -2 |
| 26.13 | 3.410 | 16 | 2 1 -1 |
| 26.88 | 3.317 | 17 | 0 2 2 |
| 29.29 | 3.049 | 11 | 3 -2 1 |
| 29.78 | 3.000 | 22 | 1 -3 2 |
| 31.81 | 2.813 | 12 | 3 -3 0 |

Atomic structure:
```
Np2Cr3N4O16
1.0
9.8106 0.0000 0.0000
-4.2619 9.3955 0.0000
-0.1854 -1.1489 10.4888
Np Cr N O
4 6 8 32
Cartesian
-0.6723 1.5283 3.1944 Np
0.9173 4.3373 0.5267 Np
4.4460 3.9093 9.9621 Np
6.0356 6.7184 7.2944 Np
-1.8123 4.4543 8.6253 Cr
2.2452 -0.4043 4.7949 Cr
3.0397 2.2851 1.7614 Cr
2.3236 5.9615 8.7274 Cr
3.1181 8.6509 5.6940 Cr
7.1756 3.7924 1.8635 Cr
-2.7341 8.0795 1.0847 N
-0.2384 5.7906 4.7801 N
1.2657 2.6837 6.8942 N
3.7802 -0.3276 8.3719 N
1.5831 8.5742 2.1170 N
4.0976 5.5629 3.5946 N
5.6017 2.4560 5.7087 N
8.0974 0.1671 9.4042 N
-1.7057 3.0641 7.8578 O
-0.9955 3.4723 1.4583 O
-3.3914 7.8395 8.6177 O
0.8438 0.2999 3.9898 O
-0.3265 2.8219 4.3590 O
-2.5412 7.7525 5.9142 O
-1.5267 5.7019 7.5901 O
-0.7588 4.4317 10.0071 O
0.6010 2.0636 9.6554 O
1.3039 2.3581 1.9190 O
-1.0503 8.3730 3.6793 O
1.0817 5.4177 1.9183 O
3.0326 0.7366 5.5918 O
3.5626 0.9588 1.0407 O
1.5831 5.7567 7.3273 O
2.1518 4.5321 9.7769 O
3.2115 3.7145 0.7120 O
3.7802 2.4900 3.1616 O
1.8007 7.2879 9.4482 O
2.3307 7.5100 4.8971 O
4.2816 2.8289 8.5706 O
6.4136 -0.1264 6.8095 O
4.0594 5.8885 8.5698 O
4.7623 6.1831 0.8335 O
6.1221 3.8149 0.4818 O
6.8900 2.5447 2.8988 O
7.9045 0.4941 4.5746 O
5.6898 5.4248 6.1298 O
4.5195 7.9467 6.4991 O
8.7547 0.4071 1.8711 O
6.3588 4.7744 9.0306 O
7.0690 5.1825 2.6310 O
```